Record 1
The following is a simulated XRD peak list of TiRhI2. It was derived from a structure optimized by DFT (GGA-PBE), using Cu Kα.

Atomic structure:
a b c (Å): 8.619 8.619 8.619
angles (deg): 144.66 144.66 50.84
Element x y z (fractional)
1 Ti 0.000 0.000 0.000
2 Ti 0.750 0.250 0.500
3 Rh 0.250 0.750 0.500
4 Rh 0.500 0.500 0.000
5 I 0.134 0.625 0.009
6 I 0.375 0.384 0.509
7 I 0.616 0.125 0.991
8 I 0.875 0.866 0.491

Top 6 peaks for 10° ≤ 2θ ≤ 90°, sorted by position:
Position (°2θ)  Rel. int.
26.68  100
41.60  56
42.56  28
49.26  17
56.90  23
67.09  14

---

Record 2
The following is a simulated XRD peak list of Ce6InSn. It was derived from a structure optimized by DFT (GGA-PBE), using Cu Kα.

Atomic structure:
a b c (Å): 4.795 4.795 9.582
angles (deg): 90.00 90.00 90.00
Element x y z (fractional)
1 Ce 0.000 0.000 0.000
2 Ce 0.000 0.000 0.500
3 Ce 0.000 0.500 0.248
4 Ce 0.000 0.500 0.752
5 Ce 0.500 0.000 0.248
6 Ce 0.500 0.000 0.752
7 In 0.500 0.500 0.500
8 Sn 0.500 0.500 0.000

Top 6 peaks for 10° ≤ 2θ ≤ 90°, sorted by position:
Position (°2θ)  Rel. int.
32.35  100
37.52  50
54.11  35
64.47  41
67.71  12
89.01  18